Structure and computed XRD peak list of Pm2Sm5Th2 (a crystal structure in Alexandria, relaxed with PBE; a wavelength of 1.5418 Å).
Lines closer than 0.1° are merged.

Structural model:
a b c (Å): 11.6702 11.6702 8.0352
angles (deg): 98.46 98.46 17.29
Positions (direct):
Pm 0.1752 0.1752 0.1488
Pm 0.8248 0.8248 0.8512
Sm 0.0000 0.0000 0.0000
Sm 0.0899 0.0899 0.7318
Sm 0.3075 0.3075 0.4507
Sm 0.6925 0.6925 0.5493
Sm 0.9101 0.9101 0.2682
Th 0.4471 0.4471 0.6415
Th 0.5529 0.5529 0.3585

The 10 most intense peaks (5 to 70 degrees two-theta), in order of rising 2θ:
two_theta  I_rel
7.7  47
11.1  32
24.4  35
27.8  37
29.2  66
29.6  56
31.7  50
33.6  40
35.0  74
35.1  100